1.
Computed powder diffractogram of TiV2Te2Se4 for a wavelength of 1.5418 Å, from DFT lattice parameters and positions (GGA-PBE).
No peak broadening, texture or thermal motion is included.

abc: 3.4328 3.4328 21.8534
angles: 90.00 90.00 120.00
Space group P3m1 (No. 156)
Asymmetric unit:
Ti: 0.0000 0.0000 0.0000 [1 per cell]
V: 0.0000 0.0000 0.6402 [1 per cell]
V: 0.6667 0.3333 0.3273 [1 per cell]
Te: 0.6667 0.3333 0.0879 [1 per cell]
Te: 0.6667 0.3333 0.9115 [1 per cell]
Se: 0.0000 0.0000 0.2551 [1 per cell]
Se: 0.0000 0.0000 0.3994 [1 per cell]
Se: 0.6667 0.3333 0.5681 [1 per cell]
Se: 0.6667 0.3333 0.7125 [1 per cell]

The 12 most intense peaks (10° ≤ 2θ ≤ 90°), sorted by position:
- 12.2°, 7.284 Å, rel. 49
- 24.4°, 3.642 Å, rel. 32
- 30.1°, 2.973 Å, rel. 70
- 30.3°, 2.946 Å, rel. 30
- 34.3°, 2.611 Å, rel. 18
- 36.6°, 2.458 Å, rel. 100
- 39.1°, 2.303 Å, rel. 33
- 42.0°, 2.153 Å, rel. 11
- 45.1°, 2.011 Å, rel. 47
- 53.4°, 1.716 Å, rel. 43
- 59.5°, 1.553 Å, rel. 23
- 66.4°, 1.407 Å, rel. 16

=====

2.
Computed powder diffractogram of Tl8Te3Se8 for a wavelength of 1.5418 Å, from DFT lattice parameters and positions (GGA-PBE).
No peak broadening, texture or thermal motion is included.

abc: 7.1669 8.6795 10.9816
angles: 94.20 104.51 91.01
Space group P-1 (No. 2)
Asymmetric unit:
Tl: 0.0301 0.4879 0.1789 [2 per cell]
Tl: 0.2320 0.9973 0.2990 [2 per cell]
Tl: 0.2882 0.6731 0.5472 [2 per cell]
Tl: 0.4051 0.2199 0.0048 [2 per cell]
Te: 0.0000 0.0000 0.0000 [1 per cell]
Te: 0.2573 0.1894 0.6116 [2 per cell]
Se: 0.1528 0.7049 0.0359 [2 per cell]
Se: 0.2560 0.3531 0.3680 [2 per cell]
Se: 0.3165 0.4369 0.7631 [2 per cell]
Se: 0.3759 0.9775 0.7679 [2 per cell]

The 12 most intense peaks (10° ≤ 2θ ≤ 90°), sorted by position:
- 23.8°, 3.733 Å, rel. 37
- 24.4°, 3.645 Å, rel. 26
- 24.9°, 3.572 Å, rel. 99
- 26.5°, 3.366 Å, rel. 47
- 27.0°, 3.308 Å, rel. 39
- 27.6°, 3.226 Å, rel. 100
- 28.7°, 3.106 Å, rel. 26
- 30.2°, 2.960 Å, rel. 35
- 31.4°, 2.849 Å, rel. 26
- 38.3°, 2.350 Å, rel. 30
- 39.4°, 2.289 Å, rel. 24
- 41.5°, 2.176 Å, rel. 26

=====

3.
Computed powder diffractogram of Tl12TeSe5 for a wavelength of 1.5418 Å, from DFT lattice parameters and positions (GGA-PBE).
No peak broadening, texture or thermal motion is included.

abc: 7.7695 13.4781 12.5276
angles: 90.00 101.78 90.00
Space group C2/m (No. 12)
Asymmetric unit:
Tl: 0.1212 0.0000 0.3625 [4 per cell]
Tl: 0.1223 0.3333 0.3659 [8 per cell]
Tl: 0.1955 0.5000 0.1420 [4 per cell]
Tl: 0.2222 0.1755 0.1421 [8 per cell]
Te: 0.0000 0.0000 0.0000 [2 per cell]
Se: 0.0000 0.1656 0.5000 [4 per cell]
Se: 0.0000 0.3334 0.0000 [4 per cell]
Se: 0.0000 0.5000 0.5000 [2 per cell]

The 12 most intense peaks (10° ≤ 2θ ≤ 90°), sorted by position:
- 23.0°, 3.866 Å, rel. 14
- 25.9°, 3.437 Å, rel. 100
- 28.6°, 3.126 Å, rel. 77
- 29.1°, 3.066 Å, rel. 19
- 30.1°, 2.969 Å, rel. 37
- 33.5°, 2.672 Å, rel. 32
- 40.2°, 2.245 Å, rel. 69
- 41.5°, 2.177 Å, rel. 14
- 48.1°, 1.891 Å, rel. 18
- 50.0°, 1.823 Å, rel. 16
- 50.3°, 1.812 Å, rel. 17
- 64.7°, 1.441 Å, rel. 15

=====

4.
Computed powder diffractogram of Tl2Te3Se6 for a wavelength of 1.5418 Å, from DFT lattice parameters and positions (GGA-PBE).
No peak broadening, texture or thermal motion is included.

abc: 7.9887 12.0770 7.9283
angles: 90.00 110.29 90.00
Space group C2/m (No. 12)
Asymmetric unit:
Tl: 0.0000 0.1685 0.0000 [4 per cell]
Te: 0.0000 0.0000 0.5000 [2 per cell]
Te: 0.0000 0.3288 0.5000 [4 per cell]
Se: 0.2105 0.1699 0.7155 [8 per cell]
Se: 0.2486 0.5000 0.6959 [4 per cell]

The 12 most intense peaks (10° ≤ 2θ ≤ 90°), sorted by position:
- 13.9°, 6.367 Å, rel. 23
- 15.4°, 5.744 Å, rel. 11
- 27.3°, 3.265 Å, rel. 62
- 29.6°, 3.014 Å, rel. 100
- 39.6°, 2.274 Å, rel. 18
- 40.6°, 2.221 Å, rel. 42
- 40.9°, 2.209 Å, rel. 38
- 45.0°, 2.013 Å, rel. 17
- 48.6°, 1.873 Å, rel. 11
- 53.5°, 1.713 Å, rel. 19
- 61.5°, 1.507 Å, rel. 10
- 64.8°, 1.439 Å, rel. 10